Structure and simulated powder X-ray diffraction pattern of MgTe2Mo2W2Se4S2 (DFT lattice parameters and positions (PBE); Cu Ka).

Structure:
```
data_MgTe2Mo2W2Se4S2
_cell_length_a 3.3377
_cell_length_b 3.3378
_cell_length_c 38.1092
_cell_angle_alpha 90.00
_cell_angle_beta 90.00
_cell_angle_gamma 120.00
_symmetry_space_group_name_H-M 'P 1'
_symmetry_Int_Tables_number 1
loop_
_symmetry_equiv_pos_as_xyz
'x,y,z'
loop_
_atom_site_label
_atom_site_fract_x
_atom_site_fract_y
_atom_site_fract_z
Mg1 0.0000 0.0000 0.0000
Te1 0.3526 0.6050 0.1830
Te2 0.3526 0.6050 0.2826
Mo1 0.0192 0.9383 0.2328
Mo2 0.0193 0.9383 0.6086
W1 0.3526 0.6050 0.4208
W2 0.3526 0.6050 0.7965
Se1 0.0193 0.9384 0.3768
Se2 0.0193 0.9384 0.4647
Se3 0.3526 0.6050 0.5648
Se4 0.3526 0.6050 0.6524
S1 0.0193 0.9384 0.7565
S2 0.0193 0.9384 0.8364
```

The 6 most intense peaks (10 to 90 degrees two-theta), by intensity:
hkl, two_theta, I (rel.)
0 0 5, 11.61, 100
1 0 -8, 36.35, 78
0 1 13, 43.99, 45
1 -1 0, 30.95, 41
1 1 0, 55.03, 27
0 0 6, 13.94, 17